# 1
For La2Zn6Ag3, a structure optimized by DFT (PBE) gives the calculated powder X-ray diffraction pattern in this record (Cu Kα).
Kinematic intensities with the Lorentz-polarization factor, no thermal factor.

Most intense lines, 10 to 90 degrees two-theta, in order of rising 2θ:
2θ/deg, d/Å, I_rel
23.7, 3.757, 14
31.3, 2.855, 12
32.2, 2.777, 100
33.3, 2.694, 21
35.6, 2.525, 16
35.9, 2.505, 17
42.2, 2.141, 19
43.9, 2.062, 27
46.2, 1.966, 13
53.5, 1.713, 19

Crystal structure
```
data_La2Zn6Ag3
_chemical_formula_sum 'La4 Zn12 Ag6'
_cell_length_a 9.9782
_cell_length_b 11.4207
_cell_length_c 4.1243
_cell_angle_alpha 90.00
_cell_angle_beta 90.00
_cell_angle_gamma 90.00
_symmetry_space_group_name_H-M 'C m m m'
_symmetry_Int_Tables_number 65
_symmetry_space_group_name_Hall '-C 2 2'
loop_
_atom_site_label
_atom_site_type_symbol
_atom_site_fract_x
_atom_site_fract_y
_atom_site_fract_z
La1 La 0.0000 0.2132 0.0000
Zn1 Zn 0.1184 0.0000 0.5000
Zn2 Zn 0.2012 0.3459 0.5000
Ag1 Ag 0.0000 0.5000 0.5000
Ag2 Ag 0.2070 0.5000 0.0000
```

# 2
For La3Zn4Ag4, a structure optimized by DFT (PBE) gives the calculated powder X-ray diffraction pattern in this record (Cu Kα).
Kinematic intensities with the Lorentz-polarization factor, no thermal factor.

Most intense lines, 10 to 90 degrees two-theta, in order of rising 2θ:
2θ/deg, d/Å, I_rel
31.6, 2.833, 100
32.4, 2.760, 28
33.8, 2.652, 94
36.1, 2.491, 29
36.4, 2.465, 22
39.7, 2.270, 47
41.2, 2.192, 43
43.8, 2.066, 15
58.5, 1.577, 29
69.7, 1.349, 17

Crystal structure
```
data_La3Zn4Ag4
_chemical_formula_sum 'La6 Zn8 Ag8'
_cell_length_a 4.3836
_cell_length_b 7.6729
_cell_length_c 14.7919
_cell_angle_alpha 90.00
_cell_angle_beta 90.00
_cell_angle_gamma 90.00
_symmetry_space_group_name_H-M 'I m m m'
_symmetry_Int_Tables_number 71
_symmetry_space_group_name_Hall '-I 2 2'
loop_
_atom_site_label
_atom_site_type_symbol
_atom_site_fract_x
_atom_site_fract_y
_atom_site_fract_z
La1 La 0.0000 0.0000 0.0000
La2 La 0.0000 0.5000 0.1275
Zn1 Zn 0.0000 0.0000 0.2195
Zn2 Zn 0.0000 0.1790 0.5000
Ag1 Ag 0.0000 0.3086 0.3296
```

# 3
For La5Zn4Ag, a structure optimized by DFT (PBE) gives the calculated powder X-ray diffraction pattern in this record (Cu Kα).
Kinematic intensities with the Lorentz-polarization factor, no thermal factor.

Most intense lines, 10 to 90 degrees two-theta, in order of rising 2θ:
2θ/deg, d/Å, I_rel
23.5, 3.792, 9
33.4, 2.681, 51
33.7, 2.663, 100
48.0, 1.896, 19
48.7, 1.870, 9
59.9, 1.544, 37
60.3, 1.534, 18
70.8, 1.331, 11
80.0, 1.199, 8
80.2, 1.197, 8

Crystal structure
```
data_La5Zn4Ag
_chemical_formula_sum 'La5 Zn4 Ag1'
_cell_length_a 3.7916
_cell_length_b 3.7916
_cell_length_c 18.6997
_cell_angle_alpha 90.00
_cell_angle_beta 90.00
_cell_angle_gamma 90.00
_symmetry_space_group_name_H-M 'P 4/m m m'
_symmetry_Int_Tables_number 123
_symmetry_space_group_name_Hall '-P 4 2'
loop_
_atom_site_label
_atom_site_type_symbol
_atom_site_fract_x
_atom_site_fract_y
_atom_site_fract_z
La1 La 0.0000 0.0000 0.0000
La2 La 0.0000 0.0000 0.1999
La3 La 0.0000 0.0000 0.3954
Zn1 Zn 0.5000 0.5000 0.1008
Zn2 Zn 0.5000 0.5000 0.2964
Ag1 Ag 0.5000 0.5000 0.5000
```